Record 1
For PuPaRu4, a cell relaxed with GGA-PBE gives the theoretical powder diffractogram in this record (Cu Kα).

Structural model:
Cell: 5.3153 5.3153 5.3153 Å, 60.00 60.00 60.00°
Fractional coordinates of all 6 atoms:
Pu1 0.0000 0.0000 0.0000
Pa1 0.2500 0.2500 0.2500
Ru1 0.1240 0.6253 0.6253
Ru2 0.6253 0.1240 0.6253
Ru3 0.6253 0.6253 0.1240
Ru4 0.6253 0.6253 0.6253

Principal peaks in the range 5° ≤ 2θ ≤ 70°, most intense first:
2θ/deg	I (rel.)
39.77	1000
33.73	583
64.40	326
60.32	229
41.62	175
20.46	79
53.11	24


Record 2
For Pu2PaS4, a cell relaxed with GGA-PBE gives the theoretical powder diffractogram in this record (Cu Kα).

Structural model:
Cell: 7.0734 11.1936 4.1461 Å, 90.00 90.00 90.00°
Fractional coordinates of all 14 atoms:
Pu1 0.0990 0.1868 0.0000
Pu2 0.4010 0.6868 0.0000
Pu3 0.5990 0.3132 0.0000
Pu4 0.9010 0.8132 0.0000
Pa1 0.0000 0.5000 0.5000
Pa2 0.5000 0.0000 0.5000
S1 0.1322 0.7224 0.5000
S2 0.2440 0.4490 0.0000
S3 0.2560 0.9490 0.0000
S4 0.3678 0.2224 0.5000
S5 0.6322 0.7776 0.5000
S6 0.7440 0.0510 0.0000
S7 0.7560 0.5510 0.0000
S8 0.8678 0.2776 0.5000

Principal peaks in the range 5° ≤ 2θ ≤ 70°, most intense first:
2θ/deg	I (rel.)
26.15	1000
27.02	999
34.28	794
26.76	614
47.94	515
37.07	432
26.43	396
52.10	347
43.66	307
34.47	234


Record 3
For Pu2Pa2S7, a cell relaxed with GGA-PBE gives the theoretical powder diffractogram in this record (Cu Kα).

Structural model:
Cell: 4.5799 4.5799 12.9689 Å, 90.00 90.00 90.00°
Fractional coordinates of all 11 atoms:
Pu1 0.0000 0.5000 0.1330
Pu2 0.5000 0.0000 0.8670
Pa1 0.0000 0.5000 0.6291
Pa2 0.5000 0.0000 0.3709
S1 0.0000 0.0000 0.2453
S2 0.0000 0.0000 0.5000
S3 0.0000 0.0000 0.7547
S4 0.5000 0.5000 0.0000
S5 0.5000 0.5000 0.2572
S6 0.5000 0.5000 0.5000
S7 0.5000 0.5000 0.7428

Principal peaks in the range 5° ≤ 2θ ≤ 70°, most intense first:
2θ/deg	I (rel.)
23.79	1000
39.33	638
46.48	515
27.53	282
62.48	214
64.30	117
56.84	107
48.68	88
13.66	12
33.87	10